Structure and computed PXRD pattern of Tb2NdY6 (a cell relaxed with PBE; Cu Ka).

Structure:
Cell lengths 21.7313, 9.7069, 5.7439 Å; angles 90.00, 105.28, 90.00 degrees
Space group C2/c (No. 15)
Inequivalent atoms, fractional coordinates:
Tb 0.2500 0.0822 0.0336
Nd 0.0000 0.2502 0.2500
Y 0.0841 0.0822 0.8069
Y 0.0842 0.4179 0.8604
Y 0.1665 0.2499 0.4164

Principal peaks in the range 10° ≤ 2θ ≤ 90°, sorted by position:
d = 2.872 Å, 2θ 31.14, I = 49, (2 0 -2); d = 2.853 Å, 2θ 31.35, I = 90, (5 1 1); d = 2.836 Å, 2θ 31.55, I = 47, (6 2 0); d = 2.819 Å, 2θ 31.74, I = 100, (1 3 -1); d = 2.018 Å, 2θ 44.92, I = 32, (4 2 2); d = 1.993 Å, 2θ 45.51, I = 16, (6 4 0); d = 1.648 Å, 2θ 55.79, I = 16, (3 3 -3); d = 1.637 Å, 2θ 56.17, I = 16, (4 4 2); d = 1.627 Å, 2θ 56.55, I = 18, (5 5 1); d = 1.485 Å, 2θ 62.55, I = 28, (11 3 1)

Structure and computed PXRD pattern of LaTm3Bi2 (a cell relaxed with PBE; Cu Ka).

Structure:
Cell lengths 15.6262, 4.7023, 11.4190 Å; angles 90.00, 114.29, 90.00 degrees
Space group C2/m (No. 12)
Inequivalent atoms, fractional coordinates:
La 0.1367 0.0000 0.0646
Tm 0.0429 0.0000 0.3586
Tm 0.1191 0.5000 0.6190
Tm 0.2173 0.5000 0.3878
Bi 0.0055 0.5000 0.1577
Bi 0.1978 0.0000 0.8208

Principal peaks in the range 10° ≤ 2θ ≤ 90°, sorted by position:
d = 3.238 Å, 2θ 27.54, I = 13, (4 0 -3); d = 2.943 Å, 2θ 30.37, I = 100, (3 1 1); d = 2.929 Å, 2θ 30.52, I = 13, (1 1 -3); d = 2.854 Å, 2θ 31.34, I = 86, (3 1 -3); d = 2.602 Å, 2θ 34.47, I = 47, (6 0 -2); d = 2.501 Å, 2θ 35.91, I = 16, (3 1 2); d = 2.386 Å, 2θ 37.70, I = 16, (1 1 -4); d = 2.351 Å, 2θ 38.28, I = 37, (0 2 0); d = 1.744 Å, 2θ 52.46, I = 29, (6 2 -2); d = 1.447 Å, 2θ 64.37, I = 15, (3 3 1)

Structure and computed PXRD pattern of Pr3GaCu3 (a cell relaxed with PBE; Cu Ka).

Structure:
Cell lengths 4.2465, 10.6134, 13.9444 Å; angles 90.00, 90.00, 90.00 degrees
Space group Cmcm (No. 63)
Inequivalent atoms, fractional coordinates:
Pr 0.0000 0.0053 0.2500
Pr 0.0000 0.2910 0.1018
Ga 0.0000 0.0000 0.0000
Cu 0.0000 0.2932 0.7500
Cu 0.0000 0.4249 0.5921

Principal peaks in the range 10° ≤ 2θ ≤ 90°, sorted by position:
d = 3.007 Å, 2θ 29.71, I = 74, (1 1 3); d = 2.914 Å, 2θ 30.69, I = 48, (0 2 4); d = 2.718 Å, 2θ 32.95, I = 83, (1 3 0); d = 2.611 Å, 2θ 34.35, I = 100, (1 1 4); d = 2.346 Å, 2θ 38.36, I = 84, (1 3 3); d = 2.324 Å, 2θ 38.75, I = 32, (0 0 6); d = 2.304 Å, 2θ 39.09, I = 43, (0 4 3); d = 2.123 Å, 2θ 42.58, I = 52, (2 0 0); d = 1.561 Å, 2θ 59.17, I = 24, (2 4 3); d = 1.428 Å, 2θ 65.35, I = 27, (1 7 0)